Diffraction record for LiNi3Rh. The PXRD pattern is theoretical, not measured: it uses DFT lattice parameters and positions (GGA-PBE) and a wavelength of 1.5418 Å.
Neutral-atom scattering factors, no anomalous dispersion.

The 12 most intense peaks (10° ≤ 2θ ≤ 90°), sorted by position:
(hkl)  two_theta  Rel. int.
0 1 1  21.40  28
0 0 2  26.61  25
0 2 0  33.85  40
2 0 2  37.98  33
3 0 1  42.61  63
1 0 3  42.74  62
2 2 0  43.56  58
1 2 2  45.72  100
3 0 2  49.02  18
3 2 1  55.50  26
1 2 3  55.60  26
3 4 1  86.72  30

Crystal structure
Cell: 6.712 5.296 6.688 Å, 90.00 90.00 90.00°
Fractional positions:
Li1 0.173 0.250 0.177
Li2 0.327 0.750 0.677
Li3 0.673 0.250 0.323
Li4 0.827 0.750 0.823
Ni1 0.125 0.005 0.875
Ni2 0.125 0.495 0.875
Ni3 0.175 0.750 0.165
Ni4 0.325 0.250 0.665
Ni5 0.375 0.505 0.375
Ni6 0.375 0.995 0.375
Ni7 0.625 0.005 0.625
Ni8 0.625 0.495 0.625
Ni9 0.675 0.750 0.335
Ni10 0.825 0.250 0.835
Ni11 0.875 0.505 0.125
Ni12 0.875 0.995 0.125
Rh1 0.000 0.000 0.500
Rh2 0.000 0.500 0.500
Rh3 0.500 0.000 0.000
Rh4 0.500 0.500 0.000